Structure and theoretical powder XRD pattern of CsCo2P2O7 (a cell relaxed with PBE+U; Cu Kα).

Principal peaks in the range 2θ = 5–70°, by angle:
23.17 deg, I 100, (1 0 4); 25.55 deg, I 64, (0 1 5); 31.88 deg, I 61, (1 1 0); 39.79 deg, I 20, (0 2 4); 45.96 deg, I 32, (1 1 9); 51.86 deg, I 25, (2 1 4)

Atomic structure:
Lattice parameters (Å, degrees): 5.6137 5.6137 25.0114 90.00 90.00 120.00
Space group R32 (No. 155, hexagonal axes)
One atom of each set of equivalent atoms:
Cs 0.0000 0.0000 0.0000 x3
Co 0.0000 0.0000 0.2339 x6
P 0.0000 0.0000 0.4360 x6
O 0.0000 0.0000 0.5000 x3
O 0.0481 0.4410 0.0844 x18